[1]
Mn12O17F7: simulated PXRD pattern (λ = 1.5418 Å (Cu Kα)), based on a cell relaxed with PBE+U.
Kinematic intensities with the Lorentz-polarization factor, no thermal factor.

Principal peaks in the range 10° ≤ 2θ ≤ 80°, low angle first:
| 2theta | d/Å | I/Imax |
| --- | --- | --- |
| 25.03 | 3.558 | 100 |
| 25.37 | 3.511 | 95 |
| 30.54 | 2.927 | 91 |
| 30.81 | 2.902 | 95 |
| 31.00 | 2.884 | 80 |
| 31.30 | 2.858 | 76 |
| 36.84 | 2.440 | 72 |
| 64.84 | 1.438 | 54 |

Atomic structure:
```
data_Mn12O17F7
_chemical_formula_sum 'Mn12 O17 F7'
_cell_length_a 4.5698
_cell_length_b 5.5782
_cell_length_c 15.1062
_cell_angle_alpha 90.02
_cell_angle_beta 91.18
_cell_angle_gamma 90.79
_symmetry_space_group_name_H-M 'P 1'
_symmetry_Int_Tables_number 1
_symmetry_space_group_name_Hall 'P 1'
loop_
_atom_site_label
_atom_site_type_symbol
_atom_site_fract_x
_atom_site_fract_y
_atom_site_fract_z
_atom_site_occupancy
Mn1 Mn 0.0000 0.0000 0.0000 1
Mn2 Mn 0.9997 0.0048 0.3309 1
Mn3 Mn 0.0050 0.6723 0.1661 1
Mn4 Mn 0.0091 0.6720 0.8332 1
Mn5 Mn 0.0253 0.9926 0.6612 1
Mn6 Mn 0.4662 0.2005 0.8279 1
Mn7 Mn 0.4701 0.4835 0.6523 1
Mn8 Mn 0.4749 0.4733 0.3216 1
Mn9 Mn 0.4775 0.2031 0.1560 1
Mn10 Mn 0.4782 0.2026 0.4879 1
Mn11 Mn 0.4777 0.4761 0.9901 1
Mn12 Mn 0.9976 0.6720 0.4945 1
O1 O 0.2061 0.7272 0.6044 1
O2 O 0.2105 0.9510 0.4404 1
O3 O 0.2117 0.7278 0.2762 1
O4 O 0.2125 0.7274 0.9451 1
O5 O 0.2135 0.9487 0.1099 1
O6 O 0.2216 0.9435 0.7781 1
O7 O 0.2529 0.2375 0.9315 1
O8 O 0.2573 0.2388 0.2611 1
O9 O 0.2591 0.4312 0.7622 1
O10 O 0.2590 0.4369 0.4282 1
O11 O 0.2597 0.4370 0.0961 1
O12 O 0.2612 0.2322 0.5950 1
O13 O 0.7044 0.4536 0.8833 1
O14 O 0.7093 0.2239 0.0499 1
O15 O 0.7092 0.2261 0.3818 1
O16 O 0.7102 0.4531 0.2161 1
O17 O 0.7111 0.4502 0.5487 1
F1 F 0.7230 0.2081 0.7194 1
F2 F 0.7323 0.9645 0.5500 1
F3 F 0.7343 0.7117 0.3842 1
F4 F 0.7389 0.7098 0.0536 1
F5 F 0.7391 0.9669 0.2187 1
F6 F 0.7415 0.9660 0.8873 1
F7 F 0.7484 0.7108 0.7175 1
```

---

[2]
Mn3O5F: simulated PXRD pattern (λ = 1.5418 Å (Cu Kα)), based on a cell relaxed with PBE+U.
Kinematic intensities with the Lorentz-polarization factor, no thermal factor.

Principal peaks in the range 10° ≤ 2θ ≤ 80°, low angle first:
| 2theta | d/Å | I/Imax |
| --- | --- | --- |
| 27.12 | 3.288 | 98 |
| 28.34 | 3.150 | 93 |
| 35.83 | 2.506 | 100 |
| 39.63 | 2.274 | 18 |
| 53.79 | 1.704 | 59 |
| 55.15 | 1.665 | 39 |
| 69.33 | 1.355 | 21 |
| 69.48 | 1.353 | 29 |

Atomic structure:
```
data_Mn3O5F
_chemical_formula_sum 'Mn6 O10 F2'
_cell_length_a 4.5577
_cell_length_b 5.4488
_cell_length_c 7.5348
_cell_angle_alpha 86.29
_cell_angle_beta 88.59
_cell_angle_gamma 87.90
_symmetry_space_group_name_H-M 'P 1'
_symmetry_Int_Tables_number 1
_symmetry_space_group_name_Hall 'P 1'
loop_
_atom_site_label
_atom_site_type_symbol
_atom_site_fract_x
_atom_site_fract_y
_atom_site_fract_z
_atom_site_occupancy
Mn1 Mn 0.0000 0.0000 0.0000 1
Mn2 Mn 0.0051 0.3380 0.6675 1
Mn3 Mn 0.4795 0.8303 0.6512 1
Mn4 Mn 0.5000 0.5000 0.0000 1
Mn5 Mn 0.5205 0.1697 0.3488 1
Mn6 Mn 0.9949 0.6620 0.3325 1
O1 O 0.1871 0.6970 0.1008 1
O2 O 0.1932 0.3683 0.4360 1
O3 O 0.2051 0.0456 0.7692 1
O4 O 0.2990 0.5436 0.7632 1
O5 O 0.3055 0.8750 0.4327 1
O6 O 0.6945 0.1250 0.5673 1
O7 O 0.7010 0.4564 0.2368 1
O8 O 0.7949 0.9544 0.2308 1
O9 O 0.8068 0.6317 0.5640 1
O10 O 0.8129 0.3030 0.8992 1
F1 F 0.3169 0.1934 0.1200 1
F2 F 0.6831 0.8066 0.8800 1
```

---

[3]
Mn6O7F5: simulated PXRD pattern (λ = 1.5418 Å (Cu Kα)), based on a cell relaxed with PBE+U.
Kinematic intensities with the Lorentz-polarization factor, no thermal factor.

Principal peaks in the range 10° ≤ 2θ ≤ 80°, low angle first:
| 2theta | d/Å | I/Imax |
| --- | --- | --- |
| 25.80 | 3.453 | 100 |
| 27.92 | 3.196 | 87 |
| 34.96 | 2.567 | 51 |
| 35.28 | 2.544 | 40 |
| 51.38 | 1.778 | 16 |
| 51.48 | 1.775 | 16 |
| 53.04 | 1.727 | 17 |
| 60.81 | 1.523 | 19 |

Atomic structure:
```
data_Mn6O7F5
_chemical_formula_sum 'Mn6 O7 F5'
_cell_length_a 4.6930
_cell_length_b 5.6409
_cell_length_c 7.6702
_cell_angle_alpha 85.30
_cell_angle_beta 87.79
_cell_angle_gamma 85.93
_symmetry_space_group_name_H-M 'P 1'
_symmetry_Int_Tables_number 1
_symmetry_space_group_name_Hall 'P 1'
loop_
_atom_site_label
_atom_site_type_symbol
_atom_site_fract_x
_atom_site_fract_y
_atom_site_fract_z
_atom_site_occupancy
Mn1 Mn 0.0000 0.0000 0.0000 1
Mn2 Mn 0.0022 0.3527 0.6901 1
Mn3 Mn 0.0395 0.6788 0.3655 1
Mn4 Mn 0.5159 0.5089 0.0213 1
Mn5 Mn 0.5240 0.8335 0.6864 1
Mn6 Mn 0.5312 0.1728 0.3373 1
O1 O 0.2048 0.6239 0.5885 1
O2 O 0.3238 0.4647 0.2510 1
O3 O 0.3314 0.8102 0.9156 1
O4 O 0.7073 0.8731 0.4516 1
O5 O 0.7121 0.5485 0.7928 1
O6 O 0.7205 0.2142 0.1105 1
O7 O 0.8310 0.0599 0.7780 1
F1 F 0.2059 0.9799 0.2329 1
F2 F 0.2188 0.3143 0.9050 1
F3 F 0.3174 0.1400 0.5763 1
F4 F 0.8185 0.3655 0.4618 1
F5 F 0.8328 0.7024 0.1357 1
```

---

[4]
Mn6OF11: simulated PXRD pattern (λ = 1.5418 Å (Cu Kα)), based on a cell relaxed with PBE+U.
Kinematic intensities with the Lorentz-polarization factor, no thermal factor.

Principal peaks in the range 10° ≤ 2θ ≤ 80°, low angle first:
| 2theta | d/Å | I/Imax |
| --- | --- | --- |
| 23.26 | 3.824 | 42 |
| 23.65 | 3.762 | 36 |
| 28.59 | 3.122 | 100 |
| 28.91 | 3.088 | 98 |
| 49.88 | 1.828 | 48 |
| 50.64 | 1.803 | 36 |
| 51.44 | 1.776 | 30 |
| 60.22 | 1.537 | 30 |

Atomic structure:
```
data_Mn6OF11
_chemical_formula_sum 'Mn12 O2 F22'
_cell_length_a 4.9635
_cell_length_b 16.2227
_cell_length_c 7.6316
_cell_angle_alpha 90.00
_cell_angle_beta 129.61
_cell_angle_gamma 90.00
_symmetry_space_group_name_H-M 'P 1'
_symmetry_Int_Tables_number 1
_symmetry_space_group_name_Hall 'P 1'
loop_
_atom_site_label
_atom_site_type_symbol
_atom_site_fract_x
_atom_site_fract_y
_atom_site_fract_z
_atom_site_occupancy
Mn1 Mn 0.0000 0.9998 0.0000 1
Mn2 Mn 0.0000 0.0002 0.5000 1
Mn3 Mn 0.6526 0.1682 0.1582 1
Mn4 Mn 0.6526 0.8318 0.6582 1
Mn5 Mn 0.6643 0.1711 0.6605 1
Mn6 Mn 0.6643 0.8289 0.1605 1
Mn7 Mn 0.6703 0.4945 0.1618 1
Mn8 Mn 0.6703 0.5055 0.6618 1
Mn9 Mn 0.9866 0.3378 0.4765 1
Mn10 Mn 0.9866 0.6622 0.9765 1
Mn11 Mn 0.9880 0.3392 0.0102 1
Mn12 Mn 0.9880 0.6608 0.5102 1
O1 O 0.9433 0.3846 0.2364 1
O2 O 0.9433 0.6154 0.7364 1
F1 F 0.1584 0.2259 0.4425 1
F2 F 0.1584 0.7741 0.9425 1
F3 F 0.1594 0.4432 0.9440 1
F4 F 0.1594 0.5568 0.4440 1
F5 F 0.1601 0.1109 0.9315 1
F6 F 0.1601 0.8891 0.4315 1
F7 F 0.4827 0.3929 0.7185 1
F8 F 0.4827 0.6071 0.2185 1
F9 F 0.4839 0.2762 0.2264 1
F10 F 0.4839 0.7238 0.7264 1
F11 F 0.4952 0.0587 0.7243 1
F12 F 0.4952 0.9413 0.2243 1
F13 F 0.6983 0.1095 0.4338 1
F14 F 0.6983 0.8905 0.9338 1
F15 F 0.7130 0.2257 0.9364 1
F16 F 0.7130 0.7743 0.4364 1
F17 F 0.7142 0.4402 0.4463 1
F18 F 0.7142 0.5598 0.9463 1
F19 F 0.9514 0.0591 0.2242 1
F20 F 0.9514 0.9409 0.7242 1
F21 F 0.9567 0.2838 0.7100 1
F22 F 0.9567 0.7162 0.2100 1
```

---

[5]
Mn6O7F5: simulated PXRD pattern (λ = 1.5418 Å (Cu Kα)), based on a cell relaxed with PBE+U.
Kinematic intensities with the Lorentz-polarization factor, no thermal factor.

Principal peaks in the range 10° ≤ 2θ ≤ 80°, low angle first:
| 2theta | d/Å | I/Imax |
| --- | --- | --- |
| 25.62 | 3.477 | 100 |
| 27.88 | 3.200 | 89 |
| 35.03 | 2.561 | 47 |
| 35.15 | 2.553 | 45 |
| 51.44 | 1.776 | 28 |
| 51.70 | 1.768 | 31 |
| 54.12 | 1.695 | 49 |
| 67.20 | 1.393 | 25 |

Atomic structure:
```
data_Mn6O7F5
_chemical_formula_sum 'Mn6 O7 F5'
_cell_length_a 5.6313
_cell_length_b 5.6313
_cell_length_c 7.5770
_cell_angle_alpha 110.52
_cell_angle_beta 110.52
_cell_angle_gamma 69.25
_symmetry_space_group_name_H-M 'P 1'
_symmetry_Int_Tables_number 1
_symmetry_space_group_name_Hall 'P 1'
loop_
_atom_site_label
_atom_site_type_symbol
_atom_site_fract_x
_atom_site_fract_y
_atom_site_fract_z
_atom_site_occupancy
Mn1 Mn 0.0000 0.0000 0.0000 1
Mn2 Mn 0.2840 0.3438 0.8448 1
Mn3 Mn 0.3042 0.3633 0.3212 1
Mn4 Mn 0.6367 0.6958 0.6788 1
Mn5 Mn 0.6562 0.7160 0.1552 1
Mn6 Mn 0.9693 0.0307 0.5000 1
O1 O 0.0005 0.6716 0.3307 1
O2 O 0.2010 0.2426 0.0434 1
O3 O 0.2979 0.7021 0.0000 1
O4 O 0.3284 0.9995 0.6693 1
O5 O 0.6106 0.0623 0.3318 1
O6 O 0.7574 0.7990 0.9566 1
O7 O 0.9377 0.3894 0.6682 1
F1 F 0.0688 0.1275 0.3019 1
F2 F 0.3967 0.4513 0.6167 1
F3 F 0.5487 0.6033 0.3833 1
F4 F 0.6791 0.3209 0.0000 1
F5 F 0.8725 0.9312 0.6981 1
```

---

[6]
Mn3O4F2: simulated PXRD pattern (λ = 1.5418 Å (Cu Kα)), based on a cell relaxed with PBE+U.
Kinematic intensities with the Lorentz-polarization factor, no thermal factor.

Principal peaks in the range 10° ≤ 2θ ≤ 80°, low angle first:
| 2theta | d/Å | I/Imax |
| --- | --- | --- |
| 26.19 | 3.403 | 100 |
| 27.40 | 3.255 | 85 |
| 35.40 | 2.536 | 76 |
| 38.26 | 2.352 | 18 |
| 52.42 | 1.745 | 55 |
| 53.81 | 1.704 | 62 |
| 56.54 | 1.628 | 16 |
| 67.33 | 1.391 | 39 |

Atomic structure:
```
data_Mn3O4F2
_chemical_formula_sum 'Mn6 O8 F4'
_cell_length_a 4.7089
_cell_length_b 4.7089
_cell_length_c 9.0313
_cell_angle_alpha 90.00
_cell_angle_beta 90.00
_cell_angle_gamma 92.54
_symmetry_space_group_name_H-M 'P 1'
_symmetry_Int_Tables_number 1
_symmetry_space_group_name_Hall 'P 1'
loop_
_atom_site_label
_atom_site_type_symbol
_atom_site_fract_x
_atom_site_fract_y
_atom_site_fract_z
_atom_site_occupancy
Mn1 Mn 0.0000 0.0000 0.0000 1
Mn2 Mn 0.0000 0.0000 0.3163 1
Mn3 Mn 0.0000 0.0000 0.6360 1
Mn4 Mn 0.5000 0.5000 0.1344 1
Mn5 Mn 0.5000 0.5000 0.4998 1
Mn6 Mn 0.5000 0.5000 0.8187 1
O1 O 0.1968 0.1968 0.4810 1
O2 O 0.1994 0.1994 0.1538 1
O3 O 0.3141 0.6859 0.6525 1
O4 O 0.3162 0.6838 0.9856 1
O5 O 0.6838 0.3162 0.9856 1
O6 O 0.6859 0.3141 0.6525 1
O7 O 0.8006 0.8006 0.1538 1
O8 O 0.8032 0.8032 0.4810 1
F1 F 0.1797 0.1797 0.8189 1
F2 F 0.3200 0.6800 0.3166 1
F3 F 0.6800 0.3200 0.3166 1
F4 F 0.8203 0.8203 0.8189 1
```

---

[7]
Mn6OF11: simulated PXRD pattern (λ = 1.5418 Å (Cu Kα)), based on a cell relaxed with PBE+U.
Kinematic intensities with the Lorentz-polarization factor, no thermal factor.

Principal peaks in the range 10° ≤ 2θ ≤ 80°, low angle first:
| 2theta | d/Å | I/Imax |
| --- | --- | --- |
| 28.50 | 3.132 | 50 |
| 29.72 | 3.006 | 100 |
| 29.97 | 2.982 | 44 |
| 48.17 | 1.889 | 22 |
| 48.31 | 1.884 | 54 |
| 49.42 | 1.844 | 25 |
| 50.20 | 1.817 | 46 |
| 58.04 | 1.589 | 13 |

Atomic structure:
```
data_Mn6OF11
_chemical_formula_sum 'Mn12 O2 F22'
_cell_length_a 5.2840
_cell_length_b 5.2840
_cell_length_c 15.5778
_cell_angle_alpha 92.11
_cell_angle_beta 92.11
_cell_angle_gamma 88.54
_symmetry_space_group_name_H-M 'P 1'
_symmetry_Int_Tables_number 1
_symmetry_space_group_name_Hall 'P 1'
loop_
_atom_site_label
_atom_site_type_symbol
_atom_site_fract_x
_atom_site_fract_y
_atom_site_fract_z
_atom_site_occupancy
Mn1 Mn 0.2357 0.7324 0.6632 1
Mn2 Mn 0.2489 0.7511 0.0000 1
Mn3 Mn 0.2496 0.2496 0.8305 1
Mn4 Mn 0.2581 0.2581 0.1672 1
Mn5 Mn 0.2676 0.7643 0.3368 1
Mn6 Mn 0.3065 0.3065 0.5003 1
Mn7 Mn 0.6935 0.6935 0.4997 1
Mn8 Mn 0.7324 0.2357 0.6632 1
Mn9 Mn 0.7419 0.7419 0.8328 1
Mn10 Mn 0.7504 0.7504 0.1695 1
Mn11 Mn 0.7511 0.2489 0.0000 1
Mn12 Mn 0.7643 0.2676 0.3368 1
O1 O 0.4935 0.4935 0.4190 1
O2 O 0.5065 0.5065 0.5810 1
F1 F 0.0173 0.3956 0.5813 1
F2 F 0.0166 0.4804 0.9169 1
F3 F 0.0185 0.0185 0.0854 1
F4 F 0.0237 0.4751 0.2551 1
F5 F 0.0251 0.0251 0.7422 1
F6 F 0.1108 0.1108 0.4159 1
F7 F 0.3956 0.0173 0.5813 1
F8 F 0.4751 0.0237 0.2551 1
F9 F 0.4769 0.4769 0.7501 1
F10 F 0.4804 0.0166 0.9169 1
F11 F 0.4829 0.4829 0.0821 1
F12 F 0.5171 0.5171 0.9179 1
F13 F 0.5196 0.9834 0.0831 1
F14 F 0.5231 0.5231 0.2499 1
F15 F 0.5249 0.9763 0.7449 1
F16 F 0.6044 0.9827 0.4187 1
F17 F 0.8892 0.8892 0.5841 1
F18 F 0.9749 0.9749 0.2578 1
F19 F 0.9763 0.5249 0.7449 1
F20 F 0.9815 0.9815 0.9146 1
F21 F 0.9834 0.5196 0.0831 1
F22 F 0.9827 0.6044 0.4187 1
```

---

[8]
Mn6O7F5: simulated PXRD pattern (λ = 1.5418 Å (Cu Kα)), based on a cell relaxed with PBE+U.
Kinematic intensities with the Lorentz-polarization factor, no thermal factor.

Principal peaks in the range 10° ≤ 2θ ≤ 80°, low angle first:
| 2theta | d/Å | I/Imax |
| --- | --- | --- |
| 24.94 | 3.571 | 59 |
| 25.15 | 3.541 | 56 |
| 30.52 | 2.929 | 100 |
| 30.69 | 2.913 | 98 |
| 36.17 | 2.483 | 47 |
| 54.42 | 1.686 | 39 |
| 54.87 | 1.673 | 36 |
| 63.58 | 1.463 | 30 |

Atomic structure:
```
data_Mn6O7F5
_chemical_formula_sum 'Mn12 O14 F10'
_cell_length_a 4.5604
_cell_length_b 5.6785
_cell_length_c 15.3679
_cell_angle_alpha 90.04
_cell_angle_beta 90.15
_cell_angle_gamma 90.49
_symmetry_space_group_name_H-M 'P 1'
_symmetry_Int_Tables_number 1
_symmetry_space_group_name_Hall 'P 1'
loop_
_atom_site_label
_atom_site_type_symbol
_atom_site_fract_x
_atom_site_fract_y
_atom_site_fract_z
_atom_site_occupancy
Mn1 Mn 0.0000 0.0000 0.0000 1
Mn2 Mn 0.0000 0.0010 0.6673 1
Mn3 Mn 0.4731 0.1919 0.4919 1
Mn4 Mn 0.4777 0.1890 0.8227 1
Mn5 Mn 0.4852 0.5026 0.9857 1
Mn6 Mn 0.4914 0.5035 0.6568 1
Mn7 Mn 0.4927 0.5034 0.3235 1
Mn8 Mn 0.4957 0.1980 0.1531 1
Mn9 Mn 0.9875 0.0026 0.3388 1
Mn10 Mn 0.9919 0.7000 0.1710 1
Mn11 Mn 0.9962 0.7172 0.8391 1
Mn12 Mn 0.9970 0.7135 0.5076 1
O1 O 0.2208 0.9530 0.5604 1
O2 O 0.2217 0.9529 0.8925 1
O3 O 0.2620 0.4644 0.8803 1
O4 O 0.2646 0.4642 0.5499 1
O5 O 0.2788 0.2340 0.3828 1
O6 O 0.2788 0.2377 0.0458 1
O7 O 0.2809 0.4656 0.2143 1
O8 O 0.2821 0.2364 0.7141 1
O9 O 0.7687 0.9616 0.4453 1
O10 O 0.7735 0.7328 0.9411 1
O11 O 0.7736 0.9640 0.7747 1
O12 O 0.7765 0.7302 0.6107 1
O13 O 0.7794 0.7341 0.2793 1
O14 O 0.7829 0.9675 0.1096 1
F1 F 0.2396 0.7307 0.4008 1
F2 F 0.2422 0.7322 0.7332 1
F3 F 0.2462 0.7332 0.0660 1
F4 F 0.2461 0.9691 0.2342 1
F5 F 0.7273 0.2265 0.9268 1
F6 F 0.7281 0.2291 0.5960 1
F7 F 0.7449 0.2355 0.2608 1
F8 F 0.7453 0.4713 0.0906 1
F9 F 0.7461 0.4775 0.4371 1
F10 F 0.7473 0.4806 0.7691 1
```

---

[9]
Mn6O7F5: simulated PXRD pattern (λ = 1.5418 Å (Cu Kα)), based on a cell relaxed with PBE+U.
Kinematic intensities with the Lorentz-polarization factor, no thermal factor.

Principal peaks in the range 10° ≤ 2θ ≤ 80°, low angle first:
| 2theta | d/Å | I/Imax |
| --- | --- | --- |
| 26.92 | 3.312 | 99 |
| 27.44 | 3.250 | 100 |
| 34.24 | 2.619 | 34 |
| 34.70 | 2.585 | 25 |
| 34.88 | 2.573 | 28 |
| 35.13 | 2.555 | 25 |
| 53.93 | 1.700 | 29 |
| 68.16 | 1.376 | 19 |

Atomic structure:
```
data_Mn6O7F5
_chemical_formula_sum 'Mn6 O7 F5'
_cell_length_a 5.5359
_cell_length_b 5.5806
_cell_length_c 7.3626
_cell_angle_alpha 73.49
_cell_angle_beta 72.06
_cell_angle_gamma 71.60
_symmetry_space_group_name_H-M 'P 1'
_symmetry_Int_Tables_number 1
_symmetry_space_group_name_Hall 'P 1'
loop_
_atom_site_label
_atom_site_type_symbol
_atom_site_fract_x
_atom_site_fract_y
_atom_site_fract_z
_atom_site_occupancy
Mn1 Mn 0.0000 0.0000 0.0000 1
Mn2 Mn 0.0066 0.0827 0.5263 1
Mn3 Mn 0.2965 0.4338 0.6873 1
Mn4 Mn 0.3112 0.3724 0.1910 1
Mn5 Mn 0.6497 0.7223 0.8527 1
Mn6 Mn 0.6592 0.7268 0.3624 1
O1 O 0.0036 0.7339 0.6913 1
O2 O 0.0917 0.1862 0.7143 1
O3 O 0.2938 0.7108 0.0167 1
O4 O 0.3458 0.0328 0.3605 1
O5 O 0.5467 0.6392 0.6467 1
O6 O 0.7510 0.8021 0.0695 1
O7 O 0.9656 0.4197 0.3615 1
F1 F 0.2130 0.2391 0.9941 1
F2 F 0.4332 0.4948 0.3790 1
F3 F 0.6222 0.1301 0.6786 1
F4 F 0.6862 0.3119 0.0273 1
F5 F 0.8938 0.9665 0.3304 1
```